(1)
For Hf6ZrTi2, a crystal structure in Alexandria, relaxed with PBE gives the theoretical X-ray diffraction stick pattern in this record (Cu Ka).
Intensities are scaled so that the largest is 100.

Structure:
```
data_Hf6ZrTi2
_chemical_formula_sum 'Hf6 Zr1 Ti2'
_symmetry_space_group_name_H-M 'P 6/m m m'
_symmetry_Int_Tables_number 191
_symmetry_space_group_name_Hall '-P 6 2'
_cell_length_a 4.9094
_cell_length_b 4.9094
_cell_length_c 9.1882
_cell_angle_alpha 90.00
_cell_angle_beta 90.00
_cell_angle_gamma 120.00
loop_
_atom_site_label
_atom_site_type_symbol
_atom_site_fract_x
_atom_site_fract_y
_atom_site_fract_z
Hf1 Hf 0.0000 0.0000 0.1618
Hf2 Hf 0.3333 0.6667 0.3274
Zr1 Zr 0.0000 0.0000 0.5000
Ti1 Ti 0.3333 0.6667 0.0000
```

The 12 most intense peaks (2θ from 15° to 90°), sorted by position:
- 2θ = 19.32°, intensity 14, (0 0 2)
- 2θ = 23.05°, intensity 18, (1 0 1)
- 2θ = 36.14°, intensity 95, (1 0 3)
- 2θ = 36.61°, intensity 100, (1 1 0)
- 2θ = 41.72°, intensity 12, (1 1 2)
- 2θ = 47.47°, intensity 8, (1 1 3)
- 2θ = 52.39°, intensity 33, (2 0 3)
- 2θ = 65.61°, intensity 33, (2 1 3)
- 2θ = 65.91°, intensity 18, (3 0 0)
- 2θ = 72.79°, intensity 26, (1 1 6)
- 2θ = 77.82°, intensity 11, (2 2 0)
- 2θ = 88.94°, intensity 15, (3 1 3)

=====

(2)
For LiTlCd4, a crystal structure in Alexandria, relaxed with PBE gives the theoretical X-ray diffraction stick pattern in this record (Cu Ka).
Intensities are scaled so that the largest is 100.

Structure:
```
data_LiTlCd4
_chemical_formula_sum 'Li1 Tl1 Cd4'
_symmetry_space_group_name_H-M 'P m m m'
_symmetry_Int_Tables_number 47
_symmetry_space_group_name_Hall '-P 2 2'
_cell_length_a 3.232
_cell_length_b 3.954
_cell_length_c 10.712
_cell_angle_alpha 90.00
_cell_angle_beta 90.00
_cell_angle_gamma 90.00
loop_
_atom_site_label
_atom_site_type_symbol
_atom_site_fract_x
_atom_site_fract_y
_atom_site_fract_z
Li1 Li 0.000 0.000 0.000
Tl1 Tl 0.500 0.500 0.500
Cd1 Cd 0.000 0.000 0.297
Cd2 Cd 0.500 0.500 0.141
```

The 12 most intense peaks (2θ from 15° to 90°), sorted by position:
- 2θ = 28.05°, intensity 50, (0 1 2)
- 2θ = 32.35°, intensity 34, (1 0 2)
- 2θ = 33.83°, intensity 92, (0 1 3)
- 2θ = 35.88°, intensity 100, (1 1 0)
- 2θ = 37.53°, intensity 69, (1 0 3)
- 2θ = 42.18°, intensity 17, (0 0 5)
- 2θ = 45.90°, intensity 25, (0 2 0)
- 2θ = 56.55°, intensity 33, (1 1 5)
- 2θ = 60.73°, intensity 33, (1 2 3)
- 2θ = 64.08°, intensity 22, (0 2 5)
- 2θ = 67.94°, intensity 23, (2 1 3)
- 2θ = 77.12°, intensity 15, (0 3 3)